[1]
Starting from the GGA-PBE geometry in OQMD, the powder diffractogram of TbTaCu2P4 was calculated for Cu Kα (weighted mean of Kα1 and Kα2).

Top 6 peaks for 2θ = 5–70°, in order of falling intensity:
| index | two_theta | d [Å] | intensity |
| --- | --- | --- | --- |
| 1 1 2 | 39.99 | 2.254 | 100 |
| 1 0 1 | 26.28 | 3.391 | 78 |
| 2 0 0 | 50.17 | 1.819 | 31 |
| 1 0 3 | 37.97 | 2.370 | 30 |
| 1 0 2 | 31.13 | 2.873 | 23 |
| 2 0 4 | 64.94 | 1.436 | 21 |

```
data_TbTaCu2P4
_chemical_formula_sum 'Tb1 Ta1 Cu2 P4'
_symmetry_space_group_name_H-M 'P 4 m m'
_symmetry_Int_Tables_number 99
_cell_length_a 3.637
_cell_length_b 3.637
_cell_length_c 9.371
_cell_angle_alpha 90.00
_cell_angle_beta 90.00
_cell_angle_gamma 90.00
loop_
_symmetry_equiv_pos_as_xyz
'x,y,z'
'-y,x,z'
'-x,-y,z'
'y,-x,z'
'-x,y,z'
'y,x,z'
'x,-y,z'
'-y,-x,z'
loop_
_atom_site_label
_atom_site_fract_x
_atom_site_fract_y
_atom_site_fract_z
Tb1 0.000 0.000 0.000
Ta1 0.500 0.500 0.437
Cu1 0.000 0.500 0.711
P1 0.000 0.000 0.540
P2 0.000 0.500 0.242
P3 0.500 0.500 0.879
```

=====

[2]
Starting from the GGA-PBE geometry in OQMD, the powder diffractogram of Ho3Si2Ni4Ge2 was calculated for Cu Kα (weighted mean of Kα1 and Kα2).

Top 6 peaks for 2θ = 5–70°, in order of falling intensity:
| index | two_theta | d [Å] | intensity |
| --- | --- | --- | --- |
| 1 2 1 | 35.74 | 2.512 | 100 |
| 1 1 4 | 37.39 | 2.405 | 85 |
| 0 3 3 | 45.74 | 1.984 | 36 |
| 2 0 0 | 45.16 | 2.008 | 33 |
| 1 1 2 | 29.18 | 3.060 | 26 |
| 0 1 5 | 35.97 | 2.497 | 25 |

```
data_Ho3Si2Ni4Ge2
_chemical_formula_sum 'Ho6 Si4 Ni8 Ge4'
_symmetry_space_group_name_H-M 'I m m m'
_symmetry_Int_Tables_number 71
_symmetry_space_group_name_Hall '-I 2 2'
_cell_length_a 4.016
_cell_length_b 6.633
_cell_length_c 13.476
_cell_angle_alpha 90.00
_cell_angle_beta 90.00
_cell_angle_gamma 90.00
loop_
_atom_site_label
_atom_site_fract_x
_atom_site_fract_y
_atom_site_fract_z
Ho1 0.000 0.000 0.000
Ho2 0.000 0.500 0.129
Si1 0.000 0.000 0.217
Ni1 0.000 0.304 0.317
Ge1 0.000 0.195 0.500
```

=====

[3]
Starting from the GGA-PBE geometry in OQMD, the powder diffractogram of Co5Re24 was calculated for Cu Kα (weighted mean of Kα1 and Kα2).

Top 6 peaks for 2θ = 5–70°, in order of falling intensity:
| index | two_theta | d [Å] | intensity |
| --- | --- | --- | --- |
| 4 1 1 | 40.30 | 2.238 | 100 |
| 3 3 2 | 44.77 | 2.024 | 43 |
| 4 3 1 | 48.91 | 1.862 | 41 |
| 4 0 0 | 37.90 | 2.374 | 14 |
| 2 1 1 | 22.94 | 3.876 | 12 |
| 4 2 2 | 46.88 | 1.938 | 9 |

```
data_Co5Re24
_chemical_formula_sum 'Co10 Re48'
_symmetry_space_group_name_H-M 'I -4 3 m'
_symmetry_Int_Tables_number 217
_symmetry_space_group_name_Hall 'I -4 2 3'
_cell_length_a 9.495
_cell_length_b 9.495
_cell_length_c 9.495
_cell_angle_alpha 90.00
_cell_angle_beta 90.00
_cell_angle_gamma 90.00
loop_
_atom_site_label
_atom_site_fract_x
_atom_site_fract_y
_atom_site_fract_z
Co1 0.000 0.000 0.000
Co2 0.159 0.159 0.159
Re1 0.045 0.358 0.642
Re2 0.090 0.090 0.715
```

=====

[4]
Starting from the GGA-PBE geometry in OQMD, the powder diffractogram of TbYPb2Au2 was calculated for Cu Kα (weighted mean of Kα1 and Kα2).

Top 6 peaks for 2θ = 5–70°, in order of falling intensity:
| index | two_theta | d [Å] | intensity |
| --- | --- | --- | --- |
| 1 1 0 | 37.56 | 2.395 | 100 |
| 0 1 2 | 32.02 | 2.795 | 85 |
| 0 1 3 | 41.93 | 2.155 | 47 |
| 1 0 1 | 24.47 | 3.637 | 30 |
| 2 0 2 | 50.16 | 1.819 | 24 |
| 1 2 2 | 64.32 | 1.448 | 23 |

```
data_TbYPb2Au2
_chemical_formula_sum 'Tb1 Y1 Pb2 Au2'
_symmetry_space_group_name_H-M 'P 3 m 1'
_symmetry_Int_Tables_number 156
_cell_length_a 4.7898
_cell_length_b 4.7898
_cell_length_c 7.5651
_cell_angle_alpha 90.00
_cell_angle_beta 90.00
_cell_angle_gamma 120.00
loop_
_symmetry_equiv_pos_as_xyz
'x,y,z'
'-y,x-y,z'
'-x+y,-x,z'
'-y,-x,z'
'-x+y,y,z'
'x,x-y,z'
loop_
_atom_site_label
_atom_site_fract_x
_atom_site_fract_y
_atom_site_fract_z
Tb1 0.0000 0.0000 0.0000
Y1 0.0000 0.0000 0.4998
Pb1 0.3333 0.6667 0.7725
Pb2 0.6667 0.3333 0.2728
Au1 0.3333 0.6667 0.1664
Au2 0.6667 0.3333 0.6665
```

=====

[5]
Starting from the GGA-PBE geometry in OQMD, the powder diffractogram of RbPaO3 was calculated for Cu Kα (weighted mean of Kα1 and Kα2).

Top 6 peaks for 2θ = 5–70°, in order of falling intensity:
| index | two_theta | d [Å] | intensity |
| --- | --- | --- | --- |
| 1 1 0 | 29.09 | 3.069 | 100 |
| 1 0 4 | 25.61 | 3.479 | 69 |
| 1 1 6 | 41.63 | 2.170 | 56 |
| 0 0 3 | 14.44 | 6.133 | 50 |
| 0 1 2 | 19.28 | 4.604 | 38 |
| 2 -1 9 | 53.87 | 1.702 | 33 |

```
data_RbPaO3
_chemical_formula_sum 'Rb6 Pa6 O18'
_symmetry_space_group_name_H-M 'R -3'
_symmetry_Int_Tables_number 148
_symmetry_space_group_name_Hall '-R 3'
_cell_length_a 6.1401
_cell_length_b 6.1401
_cell_length_c 18.3977
_cell_angle_alpha 90.00
_cell_angle_beta 90.00
_cell_angle_gamma 120.00
loop_
_atom_site_label
_atom_site_fract_x
_atom_site_fract_y
_atom_site_fract_z
Rb1 0.0000 0.0000 0.1348
Pa1 0.0000 0.0000 0.3394
O1 0.0116 0.4052 0.9363
```

=====

[6]
Starting from the GGA-PBE geometry in OQMD, the powder diffractogram of TaI5 was calculated for Cu Kα (weighted mean of Kα1 and Kα2).

Top 6 peaks for 2θ = 5–70°, in order of falling intensity:
| index | two_theta | d [Å] | intensity |
| --- | --- | --- | --- |
| 2 5 1 | 27.73 | 3.217 | 100 |
| 2 1 0 | 12.70 | 6.971 | 43 |
| 4 0 1 | 27.28 | 3.269 | 43 |
| 2 5 2 | 35.71 | 2.514 | 34 |
| 6 5 0 | 42.62 | 2.121 | 28 |
| 1 1 1 | 14.66 | 6.041 | 26 |

```
data_TaI5
_chemical_formula_sum 'Ta8 I40'
_symmetry_space_group_name_H-M 'P n m a'
_symmetry_Int_Tables_number 62
_cell_length_a 14.798
_cell_length_b 20.789
_cell_length_c 6.981
_cell_angle_alpha 90.00
_cell_angle_beta 90.00
_cell_angle_gamma 90.00
loop_
_symmetry_equiv_pos_as_xyz
'x,y,z'
'-x,-y,-z'
'-x+1/2,-y,z+1/2'
'x+1/2,y,-z+1/2'
'x+1/2,-y+1/2,-z+1/2'
'-x+1/2,y+1/2,z+1/2'
'-x,y+1/2,-z'
'x,-y+1/2,z'
loop_
_atom_site_label
_atom_site_fract_x
_atom_site_fract_y
_atom_site_fract_z
Ta1 0.125 0.141 0.002
I1 0.024 0.651 0.224
I2 0.044 0.062 0.246
I3 0.052 0.250 0.220
I4 0.199 0.250 0.784
I5 0.207 0.061 0.759
I6 0.225 0.651 0.728
```

=====

[7]
Starting from the GGA-PBE geometry in OQMD, the powder diffractogram of ErSbMoI2 was calculated for Cu Kα (weighted mean of Kα1 and Kα2).

Top 6 peaks for 2θ = 5–70°, in order of falling intensity:
| index | two_theta | d [Å] | intensity |
| --- | --- | --- | --- |
| 1 0 2 | 29.97 | 2.982 | 100 |
| 0 0 1 | 8.63 | 10.248 | 47 |
| 1 1 0 | 42.71 | 2.117 | 37 |
| 0 1 4 | 43.07 | 2.100 | 26 |
| 0 2 2 | 53.05 | 1.726 | 20 |
| 1 0 3 | 35.93 | 2.499 | 15 |

```
data_ErSbMoI2
_chemical_formula_sum 'Er1 Sb1 Mo1 I2'
_symmetry_space_group_name_H-M 'P 3 m 1'
_symmetry_Int_Tables_number 156
_cell_length_a 4.2341
_cell_length_b 4.2341
_cell_length_c 10.2482
_cell_angle_alpha 90.00
_cell_angle_beta 90.00
_cell_angle_gamma 120.00
loop_
_symmetry_equiv_pos_as_xyz
'x,y,z'
'-y,x-y,z'
'-x+y,-x,z'
'-y,-x,z'
'-x+y,y,z'
'x,x-y,z'
loop_
_atom_site_label
_atom_site_fract_x
_atom_site_fract_y
_atom_site_fract_z
Er1 0.0000 0.0000 0.0000
Sb1 0.6667 0.3333 0.1635
Mo1 0.3333 0.6667 0.2814
I1 0.0000 0.0000 0.4476
I2 0.3333 0.6667 0.8088
```